Record 1
Structure and theoretical powder diffraction line list of Ac4Zr6O19 (a cell relaxed with PBE; Cu Kα).
No peak broadening, texture or thermal motion is included.

Cell and atoms:
Unit cell a=9.499 b=9.499 c=9.499 alpha=90.00 beta=90.00 gamma=90.00
Space group I23 (No. 197)
Symmetry-distinct sites (fractional):
Ac (0.159, 0.159, 0.159) (multiplicity 8)
Zr (0.000, 0.173, 0.500) (multiplicity 12)
O (0.000, 0.000, 0.000) (multiplicity 2)
O (0.000, 0.000, 0.355) (multiplicity 12)
O (0.045, 0.284, 0.686) (multiplicity 24)

Main lines, most intense first (2θ from 10° to 80°):
- 22.9 deg, rel. 100
- 29.7 deg, rel. 71
- 40.3 deg, rel. 56
- 35.4 deg, rel. 35
- 52.8 deg, rel. 28
- 58.3 deg, rel. 26
- 46.9 deg, rel. 23
- 73.2 deg, rel. 22
- 32.7 deg, rel. 21
- 48.9 deg, rel. 21

***

Record 2
Structure and theoretical powder diffraction line list of Ac5Os2 (a cell relaxed with PBE; Cu Kα).
No peak broadening, texture or thermal motion is included.

Cell and atoms:
Unit cell a=17.534 b=7.014 c=7.788 alpha=90.00 beta=96.53 gamma=90.00
Space group C2/c (No. 15)
Symmetry-distinct sites (fractional):
Ac (0.000, 0.069, 0.250) (multiplicity 4)
Ac (0.093, 0.402, 0.909) (multiplicity 8)
Ac (0.214, 0.072, 0.319) (multiplicity 8)
Os (0.110, 0.212, 0.576) (multiplicity 8)

Main lines, most intense first (2θ from 10° to 80°):
- 28.6 deg, rel. 100
- 29.1 deg, rel. 76
- 27.9 deg, rel. 62
- 36.9 deg, rel. 57
- 32.0 deg, rel. 47
- 31.9 deg, rel. 47
- 30.3 deg, rel. 43
- 26.3 deg, rel. 42
- 32.7 deg, rel. 35
- 29.3 deg, rel. 34

***

Record 3
Structure and theoretical powder diffraction line list of AcOs2 (a cell relaxed with PBE; Cu Kα).
No peak broadening, texture or thermal motion is included.

Cell and atoms:
Unit cell a=7.886 b=7.886 c=7.886 alpha=90.00 beta=90.00 gamma=90.00
Space group Fd-3m (No. 227, origin choice 2)
Symmetry-distinct sites (fractional):
Ac (0.125, 0.125, 0.125) (multiplicity 8)
Os (0.000, 0.000, 0.500) (multiplicity 16)

Main lines, most intense first (2θ from 10° to 80°):
- 37.8 deg, rel. 100
- 39.6 deg, rel. 35
- 61.1 deg, rel. 34
- 32.1 deg, rel. 32
- 67.1 deg, rel. 29
- 57.2 deg, rel. 13
- 79.7 deg, rel. 12
- 76.4 deg, rel. 6
- 46.0 deg, rel. 3
- 19.5 deg, rel. 1

***

Record 4
Structure and theoretical powder diffraction line list of Ac8OsPd4 (a cell relaxed with PBE; Cu Kα).
No peak broadening, texture or thermal motion is included.

Cell and atoms:
Unit cell a=8.7677 b=8.7677 c=21.2136 alpha=90.00 beta=90.00 gamma=120.00
Space group R-3m (No. 166, hexagonal axes)
Symmetry-distinct sites (fractional):
Ac (0.0000, 0.0000, 0.2445) (multiplicity 6)
Ac (0.0119, 0.5060, 0.7488) (multiplicity 18)
Os (0.0000, 0.0000, 0.0000) (multiplicity 3)
Pd (0.0000, 0.0000, 0.5000) (multiplicity 3)
Pd (0.0000, 0.5000, 0.5000) (multiplicity 9)

Main lines, most intense first (2θ from 10° to 80°):
- 28.9 deg, rel. 100
- 41.2 deg, rel. 39
- 41.5 deg, rel. 38
- 24.9 deg, rel. 32
- 51.1 deg, rel. 21
- 67.6 deg, rel. 18
- 68.1 deg, rel. 17
- 75.3 deg, rel. 13
- 59.9 deg, rel. 13
- 48.9 deg, rel. 11

***

Record 5
Structure and theoretical powder diffraction line list of Ac5Os2Pd (a cell relaxed with PBE; Cu Kα).
No peak broadening, texture or thermal motion is included.

Cell and atoms:
Unit cell a=16.606 b=8.241 c=8.241 alpha=90.00 beta=119.73 gamma=90.00
Space group C2/c (No. 15)
Symmetry-distinct sites (fractional):
Ac (0.115, 0.086, 0.029) (multiplicity 8)
Ac (0.115, 0.414, 0.701) (multiplicity 8)
Ac (0.250, 0.250, 0.500) (multiplicity 4)
Os (0.250, 0.116, 0.866) (multiplicity 8)
Pd (0.000, 0.250, 0.250) (multiplicity 4)

Main lines, most intense first (2θ from 10° to 80°):
- 30.6 deg, rel. 100
- 34.4 deg, rel. 52
- 33.0 deg, rel. 28
- 39.7 deg, rel. 25
- 12.3 deg, rel. 21
- 49.4 deg, rel. 20
- 63.8 deg, rel. 20
- 62.7 deg, rel. 17
- 53.6 deg, rel. 14
- 29.1 deg, rel. 13

***

Record 6
Structure and theoretical powder diffraction line list of AcPm5Os2 (a cell relaxed with PBE; Cu Kα).
No peak broadening, texture or thermal motion is included.

Cell and atoms:
Unit cell a=4.804 b=8.639 c=11.656 alpha=90.00 beta=90.00 gamma=90.00
Space group Immm (No. 71)
Symmetry-distinct sites (fractional):
Ac (0.000, 0.000, 0.000) (multiplicity 2)
Pm (0.000, 0.193, 0.338) (multiplicity 8)
Pm (0.000, 0.500, 0.000) (multiplicity 2)
Os (0.000, 0.500, 0.255) (multiplicity 4)

Main lines, most intense first (2θ from 10° to 80°):
- 29.6 deg, rel. 100
- 28.8 deg, rel. 76
- 37.2 deg, rel. 56
- 37.4 deg, rel. 48
- 39.6 deg, rel. 43
- 36.4 deg, rel. 40
- 53.8 deg, rel. 39
- 26.2 deg, rel. 34
- 62.8 deg, rel. 25
- 37.6 deg, rel. 19

***

Record 7
Structure and theoretical powder diffraction line list of Ac3PrOs (a cell relaxed with PBE; Cu Kα).
No peak broadening, texture or thermal motion is included.

Cell and atoms:
Unit cell a=12.650 b=9.562 c=8.873 alpha=90.00 beta=134.37 gamma=90.00
Space group C2/m (No. 12)
Symmetry-distinct sites (fractional):
Ac (0.047, 0.000, 0.342) (multiplicity 4)
Ac (0.248, 0.297, 0.788) (multiplicity 8)
Pr (0.043, 0.500, 0.240) (multiplicity 4)
Os (0.248, 0.500, 0.154) (multiplicity 4)

Main lines, most intense first (2θ from 10° to 80°):
- 28.2 deg, rel. 100
- 27.4 deg, rel. 64
- 29.8 deg, rel. 62
- 27.1 deg, rel. 51
- 31.8 deg, rel. 44
- 31.3 deg, rel. 34
- 35.9 deg, rel. 34
- 46.2 deg, rel. 26
- 31.7 deg, rel. 25
- 19.6 deg, rel. 24

***

Record 8
Structure and theoretical powder diffraction line list of Ac8Os3Rh (a cell relaxed with PBE; Cu Kα).
No peak broadening, texture or thermal motion is included.

Cell and atoms:
Unit cell a=13.931 b=8.847 c=8.271 alpha=90.00 beta=120.46 gamma=90.00
Space group C2/m (No. 12)
Symmetry-distinct sites (fractional):
Ac (0.006, 0.246, 0.247) (multiplicity 8)
Ac (0.245, 0.000, 0.255) (multiplicity 4)
Ac (0.248, 0.500, 0.261) (multiplicity 4)
Os (0.000, 0.000, 0.000) (multiplicity 2)
Os (0.250, 0.250, 0.500) (multiplicity 4)
Rh (0.000, 0.500, 0.000) (multiplicity 2)

Main lines, most intense first (2θ from 10° to 80°):
- 29.7 deg, rel. 100
- 40.8 deg, rel. 65
- 29.8 deg, rel. 50
- 25.0 deg, rel. 47
- 13.6 deg, rel. 37
- 51.3 deg, rel. 34
- 44.1 deg, rel. 33
- 67.5 deg, rel. 20
- 23.7 deg, rel. 17
- 44.0 deg, rel. 17

***

Record 9
Structure and theoretical powder diffraction line list of Ac16Os3Rh5 (a cell relaxed with PBE; Cu Kα).
No peak broadening, texture or thermal motion is included.

Cell and atoms:
Unit cell a=14.998 b=8.676 c=13.887 alpha=90.00 beta=90.05 gamma=90.00
Space group Cm (No. 8)
Symmetry-distinct sites (fractional):
Ac (0.000, 0.000, 0.000) (multiplicity 2)
Ac (0.001, 0.000, 0.500) (multiplicity 2)
Ac (0.014, 0.500, 0.488) (multiplicity 2)
Ac (0.082, 0.248, 0.230) (multiplicity 4)
Ac (0.167, 0.000, 0.732) (multiplicity 2)
Ac (0.172, 0.500, 0.727) (multiplicity 2)
Ac (0.248, 0.269, 0.487) (multiplicity 4)
Ac (0.259, 0.234, 0.989) (multiplicity 4)
Ac (0.337, 0.500, 0.229) (multiplicity 2)
Ac (0.338, 0.000, 0.227) (multiplicity 2)
Ac (0.418, 0.254, 0.730) (multiplicity 4)
Ac (0.490, 0.000, 0.989) (multiplicity 2)
Os (0.336, 0.500, 0.612) (multiplicity 2)
Os (0.419, 0.250, 0.113) (multiplicity 4)
Rh (0.086, 0.250, 0.613) (multiplicity 4)
Rh (0.166, 0.500, 0.349) (multiplicity 2)
Rh (0.169, 0.000, 0.113) (multiplicity 2)
Rh (0.333, 0.000, 0.846) (multiplicity 2)

Main lines, most intense first (2θ from 10° to 80°):
- 27.0 deg, rel. 100
- 30.7 deg, rel. 47
- 41.7 deg, rel. 47
- 40.4 deg, rel. 28
- 69.4 deg, rel. 22
- 46.1 deg, rel. 21
- 50.4 deg, rel. 18
- 25.7 deg, rel. 15
- 49.6 deg, rel. 15
- 24.6 deg, rel. 15

***

Record 10
Structure and theoretical powder diffraction line list of AcSi2OsRh (a cell relaxed with PBE; Cu Kα).
No peak broadening, texture or thermal motion is included.

Cell and atoms:
Unit cell a=4.231 b=4.231 c=10.580 alpha=90.00 beta=90.00 gamma=90.00
Space group I-4m2 (No. 119)
Symmetry-distinct sites (fractional):
Ac (0.000, 0.000, 0.000) (multiplicity 2)
Si (0.000, 0.000, 0.360) (multiplicity 4)
Os (0.000, 0.500, 0.250) (multiplicity 2)
Rh (0.000, 0.500, 0.750) (multiplicity 2)

Main lines, most intense first (2θ from 10° to 80°):
- 34.4 deg, rel. 100
- 22.6 deg, rel. 44
- 42.7 deg, rel. 36
- 33.1 deg, rel. 35
- 72.9 deg, rel. 23
- 61.0 deg, rel. 23
- 33.9 deg, rel. 22
- 55.6 deg, rel. 22
- 55.1 deg, rel. 17
- 48.9 deg, rel. 12

***

Record 11
Structure and theoretical powder diffraction line list of Ac8Os2Ru (a cell relaxed with PBE; Cu Kα).
No peak broadening, texture or thermal motion is included.

Cell and atoms:
Unit cell a=15.896 b=7.666 c=6.981 alpha=90.00 beta=109.70 gamma=90.00
Space group C2/m (No. 12)
Symmetry-distinct sites (fractional):
Ac (0.081, 0.000, 0.281) (multiplicity 4)
Ac (0.124, 0.259, 0.838) (multiplicity 8)
Ac (0.171, 0.500, 0.351) (multiplicity 4)
Os (0.236, 0.000, 0.186) (multiplicity 4)
Ru (0.000, 0.500, 0.000) (multiplicity 2)

Main lines, most intense first (2θ from 10° to 80°):
- 27.5 deg, rel. 100
- 31.3 deg, rel. 62
- 30.6 deg, rel. 34
- 46.8 deg, rel. 33
- 32.0 deg, rel. 29
- 33.3 deg, rel. 28
- 27.1 deg, rel. 27
- 25.7 deg, rel. 26
- 47.4 deg, rel. 25
- 33.5 deg, rel. 24

***

Record 12
Structure and theoretical powder diffraction line list of Ac6Os2S (a cell relaxed with PBE; Cu Kα).
No peak broadening, texture or thermal motion is included.

Cell and atoms:
Unit cell a=7.4287 b=7.4287 c=22.3510 alpha=90.00 beta=90.00 gamma=120.00
Space group R-3 (No. 148, hexagonal axes)
Symmetry-distinct sites (fractional):
Ac (0.0018, 0.6870, 0.4074) (multiplicity 18)
Os (0.0000, 0.0000, 0.3256) (multiplicity 6)
S (0.0000, 0.0000, 0.5000) (multiplicity 3)

Main lines, most intense first (2θ from 10° to 80°):
- 26.8 deg, rel. 100
- 34.1 deg, rel. 49
- 43.9 deg, rel. 35
- 42.1 deg, rel. 33
- 11.9 deg, rel. 26
- 50.7 deg, rel. 17
- 23.9 deg, rel. 15
- 14.3 deg, rel. 14
- 67.9 deg, rel. 13
- 71.8 deg, rel. 13

***

Record 13
Structure and theoretical powder diffraction line list of AcSbOs (a cell relaxed with PBE; Cu Kα).
No peak broadening, texture or thermal motion is included.

Cell and atoms:
Unit cell a=3.432 b=3.432 c=12.440 alpha=90.00 beta=90.00 gamma=90.00
Space group I4mm (No. 107)
Symmetry-distinct sites (fractional):
Ac (0.000, 0.000, 0.000) (multiplicity 2)
Sb (0.000, 0.000, 0.285) (multiplicity 2)
Os (0.000, 0.000, 0.673) (multiplicity 2)

Main lines, most intense first (2θ from 10° to 80°):
- 33.9 deg, rel. 100
- 37.0 deg, rel. 47
- 64.8 deg, rel. 31
- 58.5 deg, rel. 24
- 53.4 deg, rel. 17
- 27.0 deg, rel. 10
- 47.5 deg, rel. 10
- 28.7 deg, rel. 10
- 14.2 deg, rel. 9
- 43.7 deg, rel. 8